Structure and simulated XRD peak list of DyAl8Cr4 (a PBE-relaxed structure; Cu Kα X-rays).
Kinematic intensities with the Lorentz-polarization factor, no thermal factor.

Atomic structure:
Cell lengths 6.798, 6.798, 6.798 Å; angles 97.90, 97.90, 136.48 degrees
Fractional positions:
1 Dy 0.000 0.000 0.000
2 Al 0.000 0.338 0.338
3 Al 0.000 0.662 0.662
4 Al 0.278 0.500 0.778
5 Al 0.338 0.000 0.338
6 Al 0.500 0.278 0.778
7 Al 0.500 0.722 0.222
8 Al 0.662 0.000 0.662
9 Al 0.722 0.500 0.222
10 Cr 0.000 0.000 0.500
11 Cr 0.000 0.500 0.000
12 Cr 0.500 0.000 0.000
13 Cr 0.500 0.500 0.500

Peak list (10 most intense, 15 to 90 degrees two-theta, in order of rising 2θ)
| d_spacing | I (rel.) |
| --- | --- |
| 4.389 | 54 |
| 3.157 | 43 |
| 3.130 | 72 |
| 2.824 | 35 |
| 2.563 | 55 |
| 2.232 | 77 |
| 2.223 | 90 |
| 2.195 | 100 |
| 1.565 | 37 |
| 1.281 | 25 |